Diffraction record for Pa5AlGa2. The XRD peak list is theoretical, not measured: it uses a GGA-PBE-relaxed structure and Cu Kα.

Structural model:
Cell lengths 6.345, 12.750, 4.379 Å; angles 90.00, 90.00, 90.00 degrees
Space group Pbam (No. 55)
Symmetry-distinct sites (fractional):
Pa 0.000 0.000 0.000 (multiplicity 2)
Pa 0.014 0.260 0.000 (multiplicity 4)
Pa 0.240 0.872 0.500 (multiplicity 4)
Al 0.000 0.500 0.000 (multiplicity 2)
Ga 0.245 0.621 0.500 (multiplicity 4)

Principal peaks in the range 10 to 80 degrees two-theta, sorted by position:
- 19.74°, intensity 227, hkl 1 2 0
- 28.45°, intensity 179, hkl 1 2 1
- 34.81°, intensity 1000, hkl 0 4 1
- 34.92°, intensity 1000, hkl 2 0 1
- 40.10°, intensity 672, hkl 2 4 0
- 41.23°, intensity 324, hkl 0 0 2
- 58.87°, intensity 445, hkl 2 4 2
- 69.39°, intensity 255, hkl 2 8 1
- 69.59°, intensity 259, hkl 4 4 1
- 71.06°, intensity 262, hkl 2 0 3